Record 1
Structure and computed PXRD pattern of AcTiNO2 (a structure optimized by DFT (GGA-PBE); CuKα).

abc: 3.936 3.936 4.396
angles: 90.00 90.00 90.00
Atoms (fractional coordinates):
Ac  0.000  0.000  0.000
Ti  0.500  0.500  0.490
N  0.500  0.500  0.901
O  0.000  0.500  0.405
O  0.500  0.000  0.405

Peak list (10 most intense, 2θ = 10–90°, most intense first)
- 30.5°, I = 100.0
- 32.2°, I = 40.6
- 22.6°, I = 38.0
- 38.3°, I = 37.5
- 56.3°, I = 36.4
- 20.2°, I = 24.0
- 46.1°, I = 23.5
- 53.1°, I = 22.0
- 68.3°, I = 20.9
- 63.4°, I = 16.8

***

Record 2
Structure and computed PXRD pattern of Tc2Ru3 (a structure optimized by DFT (GGA-PBE); CuKα).

abc: 11.233 11.233 11.233
angles: 13.88 13.88 13.88
Atoms (fractional coordinates):
Tc  0.099  0.099  0.099
Tc  0.901  0.901  0.901
Ru  0.299  0.299  0.299
Ru  0.500  0.500  0.500
Ru  0.701  0.701  0.701

Peak list (9 most intense, 2θ = 10–90°, most intense first)
- 40.7°, I = 100.0
- 47.3°, I = 64.2
- 83.4°, I = 35.7
- 40.6°, I = 33.5
- 69.0°, I = 20.0
- 69.2°, I = 20.0
- 83.2°, I = 11.9
- 88.1°, I = 10.6
- 87.7°, I = 3.5

***

Record 3
Structure and computed PXRD pattern of K3HoBr6 (a structure optimized by DFT (GGA-PBE); CuKα).

abc: 7.881 8.399 13.658
angles: 90.00 124.13 90.00
Atoms (fractional coordinates):
K  0.000  0.000  0.000
K  0.000  0.500  0.500
K  0.212  0.080  0.743
K  0.212  0.420  0.243
K  0.788  0.580  0.757
K  0.788  0.920  0.257
Ho  0.500  0.000  0.500
Ho  0.500  0.500  0.000
Br  0.156  0.179  0.441
Br  0.156  0.321  0.941
Br  0.258  0.723  0.424
Br  0.258  0.777  0.924
Br  0.405  0.054  0.272
Br  0.405  0.446  0.772
Br  0.595  0.554  0.228
Br  0.595  0.946  0.728
Br  0.742  0.223  0.076
Br  0.742  0.277  0.576
Br  0.844  0.679  0.059
Br  0.844  0.821  0.559

Peak list (10 most intense, 2θ = 10–90°, most intense first)
- 13.1°, I = 100.0
- 15.4°, I = 86.9
- 26.4°, I = 71.7
- 34.8°, I = 68.6
- 31.1°, I = 60.6
- 39.0°, I = 48.4
- 13.8°, I = 47.3
- 26.1°, I = 45.9
- 25.2°, I = 45.7
- 39.6°, I = 44.6

***

Record 4
Structure and computed PXRD pattern of Pr3NpIn12 (a structure optimized by DFT (GGA-PBE); CuKα).

abc: 4.703 4.703 18.904
angles: 90.00 90.00 90.00
Atoms (fractional coordinates):
Pr  0.000  0.000  0.000
Pr  0.000  0.000  0.252
Pr  0.000  0.000  0.748
Np  0.000  0.000  0.500
In  0.000  0.500  0.126
In  0.000  0.500  0.379
In  0.000  0.500  0.621
In  0.000  0.500  0.874
In  0.500  0.000  0.126
In  0.500  0.000  0.379
In  0.500  0.000  0.621
In  0.500  0.000  0.874
In  0.500  0.500  0.000
In  0.500  0.500  0.252
In  0.500  0.500  0.500
In  0.500  0.500  0.748

Peak list (10 most intense, 2θ = 10–90°, most intense first)
- 32.9°, I = 100.0
- 38.3°, I = 33.2
- 65.8°, I = 26.1
- 55.1°, I = 22.4
- 38.1°, I = 16.6
- 65.6°, I = 12.9
- 55.2°, I = 11.2
- 69.1°, I = 11.2
- 81.9°, I = 3.6
- 18.8°, I = 2.4

***

Record 5
Structure and computed PXRD pattern of Ho3Ga9Os2 (a structure optimized by DFT (GGA-PBE); CuKα).

abc: 8.086 8.086 8.086
angles: 149.35 108.83 79.45
Atoms (fractional coordinates):
Ho  0.000  0.000  0.000
Ho  0.299  0.299  0.000
Ho  0.701  0.701  0.000
Ga  0.017  0.652  0.364
Ga  0.152  0.868  0.284
Ga  0.288  0.652  0.636
Ga  0.416  0.132  0.284
Ga  0.500  0.000  0.500
Ga  0.584  0.868  0.716
Ga  0.712  0.348  0.364
Ga  0.848  0.132  0.716
Ga  0.983  0.348  0.636
Os  0.327  0.500  0.827
Os  0.673  0.500  0.173

Peak list (10 most intense, 2θ = 10–90°, most intense first)
- 35.7°, I = 100.0
- 42.3°, I = 46.4
- 38.4°, I = 43.8
- 35.9°, I = 42.0
- 37.0°, I = 39.2
- 56.7°, I = 22.8
- 44.6°, I = 21.8
- 22.9°, I = 21.7
- 69.9°, I = 20.5
- 43.7°, I = 19.5

***

Record 6
Structure and computed PXRD pattern of ZnCu5Au2 (a structure optimized by DFT (GGA-PBE); CuKα).

abc: 4.636 10.976 8.903
angles: 90.00 100.18 90.00
Atoms (fractional coordinates):
Zn  0.125  0.197  0.125
Zn  0.125  0.303  0.625
Zn  0.875  0.697  0.375
Zn  0.875  0.803  0.875
Cu  0.126  0.065  0.625
Cu  0.126  0.435  0.125
Cu  0.128  0.685  0.126
Cu  0.128  0.815  0.626
Cu  0.375  0.696  0.875
Cu  0.375  0.804  0.375
Cu  0.376  0.565  0.375
Cu  0.376  0.935  0.875
Cu  0.379  0.187  0.876
Cu  0.379  0.313  0.376
Cu  0.621  0.687  0.624
Cu  0.621  0.813  0.124
Cu  0.624  0.065  0.125
Cu  0.624  0.435  0.625
Cu  0.625  0.196  0.625
Cu  0.625  0.304  0.125
Cu  0.872  0.185  0.374
Cu  0.872  0.315  0.874
Cu  0.874  0.565  0.875
Cu  0.874  0.935  0.375
Au  0.123  0.573  0.625
Au  0.123  0.927  0.125
Au  0.374  0.071  0.375
Au  0.374  0.429  0.875
Au  0.626  0.571  0.125
Au  0.626  0.929  0.625
Au  0.877  0.073  0.875
Au  0.877  0.427  0.375

Peak list (10 most intense, 2θ = 10–90°, most intense first)
- 40.6°, I = 100.0
- 41.2°, I = 99.3
- 47.4°, I = 63.7
- 21.9°, I = 45.5
- 69.8°, I = 38.4
- 48.1°, I = 31.5
- 31.9°, I = 24.4
- 83.1°, I = 21.3
- 28.7°, I = 19.5
- 16.2°, I = 12.9